The following is a calculated powder diffractogram of KUSiHO6. It was derived from a structure optimized by DFT (PBE), using CuKα.
Intensities are scaled so that the largest is 100.

The 10 most intense peaks (15° ≤ 2θ ≤ 90°), in order of rising 2θ:
- (1 0 -1), 16.5°, 5.362 Å, I 38
- (1 1 0), 18.5°, 4.794 Å, I 54
- (1 1 -1), 20.8°, 4.279 Å, I 32
- (0 2 0), 25.1°, 3.550 Å, I 100
- (0 0 2), 27.3°, 3.262 Å, I 37
- (0 2 1), 28.6°, 3.118 Å, I 67
- (2 1 -1), 30.1°, 2.972 Å, I 65
- (2 1 0), 30.2°, 2.956 Å, I 79
- (2 1 1), 36.2°, 2.479 Å, I 30
- (2 3 0), 47.5°, 1.913 Å, I 26

Structural model:
a b c (Å): 6.7351 7.1013 6.7610
angles (deg): 90.00 105.24 90.00
Atoms (fractional coordinates):
1 K 0.2014 0.0000 0.0777
2 K 0.7986 0.5000 0.9223
3 U 0.1409 0.3296 0.5187
4 U 0.8591 0.8296 0.4813
5 Si 0.3517 0.8289 0.5924
6 Si 0.6483 0.3289 0.4076
7 H 0.4175 0.3877 0.0926
8 H 0.5825 0.8877 0.9074
9 O 0.0847 0.3362 0.2358
10 O 0.1786 0.3174 0.7994
11 O 0.1870 0.0027 0.5134
12 O 0.1911 0.6506 0.5422
13 O 0.4472 0.8335 0.8462
14 O 0.4723 0.3255 0.5313
15 O 0.5277 0.8255 0.4687
16 O 0.5528 0.3335 0.1538
17 O 0.8089 0.1506 0.4578
18 O 0.8130 0.5027 0.4866
19 O 0.8214 0.8174 0.2006
20 O 0.9153 0.8362 0.7642